Calculated powder diffraction line list
Compound: MnCdF4
Radiation: copper Kα
Structure: DFT lattice parameters and positions (GGA+U)

Largest 10 diffraction maxima, in order of rising 2θ, 2θ from 5° to 70°:
17.41°, rel. 19
24.72°, rel. 100
31.34°, rel. 68
35.25°, rel. 15
36.08°, rel. 19
47.87°, rel. 70
50.70°, rel. 19
57.20°, rel. 13
59.46°, rel. 16
60.82°, rel. 24

Atomic structure:
```
6
Lattice="3.599 -3.603 0.000 3.599 3.603 0.000 0.000 0.000 3.447" Properties=species:S:1:pos:R:3 pbc="T T T"
Mn 0.000 0.000 0.000
Cd 3.599 0.000 1.723
F 3.599 2.266 1.723
F 2.127 0.000 0.000
F 5.071 0.000 0.000
F 3.599 -2.266 1.723
```

Calculated powder diffraction line list
Compound: Mn2CdF7
Radiation: copper Kα
Structure: DFT lattice parameters and positions (GGA+U)

Largest 10 diffraction maxima, in order of rising 2θ, 2θ from 5° to 70°:
8.90°, rel. 62
26.92°, rel. 44
27.74°, rel. 100
29.66°, rel. 25
31.02°, rel. 55
43.24°, rel. 17
47.84°, rel. 73
51.08°, rel. 49
55.75°, rel. 31
56.78°, rel. 17

Atomic structure:
```
10
Lattice="1.901 1.098 9.936 -1.901 1.098 9.936 0.000 -2.195 9.936" Properties=species:S:1:pos:R:3 pbc="T T T"
Mn 0.000 0.000 1.937
Mn 0.000 0.000 27.871
Cd 0.000 0.000 14.904
F 0.000 0.000 0.000
F 0.000 0.000 4.080
F 0.000 0.000 8.346
F 0.000 0.000 12.631
F 0.000 0.000 17.176
F 0.000 0.000 21.462
F 0.000 0.000 25.728
```